# Nb3TeI7
Theoretical PXRD pattern, Cu Kα, 1.54184 Å. Input: a structure optimized by DFT (GGA-PBE).
Kinematic intensities with the Lorentz-polarization factor, no thermal factor.

Crystal structure
```
Nb3TeI7
1.0
7.734 0.000 0.000
-3.867 6.698 0.000
0.000 0.000 7.245
Nb Te I
3 1 7
Cartesian
0.000 2.692 0.000 Nb
-1.536 5.352 0.000 Nb
1.536 5.352 0.000 Nb
0.000 4.465 5.163 Te
0.000 0.000 1.471 I
1.942 1.121 5.701 I
3.867 0.010 1.856 I
1.942 3.344 1.856 I
5.792 1.121 5.701 I
3.867 4.455 5.701 I
5.792 3.344 1.856 I
```

The 10 most intense peaks (15 to 90 degrees two-theta), in order of rising 2θ:
hkl  2θ/deg  Rel. int.
0 0 2  24.57  14
2 0 1  29.38  100
2 0 2  36.54  37
1 2 1  37.64  7
0 2 3  46.35  24
2 2 0  46.99  23
2 2 2  53.74  14
0 4 1  56.40  15
2 2 4  71.35  8
2 4 1  76.38  12